(1)
Structure and computed powder diffraction line list of Li2Cr3CuO8 (a DFT-relaxed cell (PBE+U, the Materials Project); Cu Ka).
Lines closer than 0.1° are merged.

```
Li2Cr3CuO8
1.0
5.9015 -5.8973 0.0000
5.9015 5.8973 0.0000
-0.0203 0.0000 8.3250
Li Cr Cu O
8 12 4 32
direct
0.1208 0.1208 0.3774 Li
0.1305 0.6252 0.8748 Li
0.3748 0.8695 0.1252 Li
0.3765 0.3735 0.6275 Li
0.6247 0.1264 0.8728 Li
0.6265 0.6235 0.3725 Li
0.8736 0.3753 0.1272 Li
0.8792 0.8792 0.6226 Li
0.0015 0.4993 0.5021 Cr
0.0008 0.9992 0.0000 Cr
0.0029 0.2516 0.7476 Cr
0.2475 0.2486 0.9996 Cr
0.2508 0.4995 0.2517 Cr
0.2524 0.7476 0.5000 Cr
0.4986 0.2489 0.2528 Cr
0.5005 0.7492 0.7483 Cr
0.5007 0.9985 0.4979 Cr
0.7484 0.9971 0.2524 Cr
0.7511 0.5014 0.7472 Cr
0.7514 0.7525 0.0004 Cr
0.2501 0.0009 0.7518 Cu
0.5005 0.4995 0.0000 Cu
0.7477 0.2523 0.5000 Cu
0.9991 0.7499 0.2482 Cu
0.0099 0.0147 0.7637 O
0.0154 0.7304 0.4912 O
0.0192 0.2435 0.9890 O
0.0190 0.4998 0.2692 O
0.2375 0.0191 0.9983 O
0.2394 0.5089 0.4884 O
0.2401 0.2420 0.7659 O
0.2444 0.7276 0.2609 O
0.2564 0.4799 0.0145 O
0.2629 0.2646 0.2420 O
0.2696 0.9846 0.5088 O
0.2724 0.7556 0.7391 O
0.4810 0.4869 0.2405 O
0.4824 0.2560 0.0199 O
0.4911 0.7606 0.5116 O
0.5002 0.9810 0.7308 O
0.5033 0.2359 0.4812 O
0.5039 0.0109 0.2683 O
0.5131 0.5190 0.7595 O
0.5201 0.7436 0.9855 O
0.7269 0.2383 0.2554 O
0.7300 0.0111 0.4911 O
0.7354 0.7371 0.7580 O
0.7440 0.5176 0.9801 O
0.7565 0.9808 0.0110 O
0.7580 0.7599 0.2341 O
0.7617 0.2731 0.7446 O
0.7641 0.4967 0.5188 O
0.9809 0.7625 0.0017 O
0.9853 0.9901 0.2363 O
0.9889 0.2700 0.5089 O
0.9891 0.4961 0.7317 O
```

The 10 most intense peaks (2θ from 5° to 70°), in order of rising 2θ:
- 18.4°, rel. 100.0
- 35.7°, rel. 43.5
- 37.4°, rel. 11.2
- 43.4°, rel. 55.5
- 47.5°, rel. 6.9
- 57.4°, rel. 12.6
- 57.5°, rel. 5.8
- 63.0°, rel. 21.8
- 63.2°, rel. 10.8
- 66.3°, rel. 7.9



(2)
Structure and computed powder diffraction line list of Li2Cr3CuO8 (a DFT-relaxed cell (PBE+U, the Materials Project); Cu Ka).
Lines closer than 0.1° are merged.

```
Li2Cr3CuO8
1.0
5.7709 0.0000 0.0000
-2.8855 4.9978 0.0000
0.0000 0.0000 9.6573
Li Cr Cu O
4 6 2 16
direct
0.0000 0.0000 0.0000 Li
0.0000 0.0000 0.5000 Li
0.3333 0.6667 0.3971 Li
0.6667 0.3333 0.8971 Li
0.1717 0.3435 0.7182 Cr
0.1717 0.8283 0.7182 Cr
0.3435 0.1717 0.2182 Cr
0.6565 0.8283 0.7182 Cr
0.8283 0.1717 0.2182 Cr
0.8283 0.6565 0.2182 Cr
0.3333 0.6667 0.9987 Cu
0.6667 0.3333 0.4987 Cu
0.0000 0.0000 0.3135 O
0.0000 0.0000 0.8135 O
0.0356 0.5178 0.8332 O
0.1572 0.3145 0.1130 O
0.1572 0.8428 0.1130 O
0.3145 0.1572 0.6130 O
0.3333 0.6667 0.6036 O
0.4822 0.5178 0.8332 O
0.4822 0.9644 0.8332 O
0.5178 0.0356 0.3332 O
0.5178 0.4822 0.3332 O
0.6667 0.3333 0.1036 O
0.6855 0.8428 0.1130 O
0.8428 0.1572 0.6130 O
0.8428 0.6855 0.6130 O
0.9644 0.4822 0.3332 O
```

The 10 most intense peaks (2θ from 5° to 70°), in order of rising 2θ:
- 18.4°, rel. 59.6
- 20.0°, rel. 100.0
- 25.7°, rel. 32.5
- 33.1°, rel. 43.3
- 36.3°, rel. 63.6
- 37.2°, rel. 52.4
- 40.7°, rel. 35.1
- 46.0°, rel. 48.8
- 60.6°, rel. 46.6
- 64.6°, rel. 37.1



(3)
Structure and computed powder diffraction line list of Li2CrCuO4 (a DFT-relaxed cell (PBE+U, the Materials Project); Cu Ka).
Lines closer than 0.1° are merged.

```
Li2CrCuO4
1.0
2.8813 -2.8815 0.0000
2.8813 2.8815 0.0000
-2.8756 0.0000 4.2426
Li Cr Cu O
2 1 1 4
direct
0.0000 0.0000 0.0000 Li
0.7499 0.2501 0.5000 Li
0.5007 0.4993 0.0000 Cr
0.2497 0.7503 0.5000 Cu
0.0171 0.5176 0.0353 O
0.2639 0.2641 0.5284 O
0.4824 0.9829 0.9647 O
0.7359 0.7361 0.4716 O
```

The 10 most intense peaks (2θ from 5° to 70°), in order of rising 2θ:
- 24.2°, rel. 100.0
- 37.7°, rel. 20.0
- 38.8°, rel. 17.3
- 42.6°, rel. 26.6
- 44.5°, rel. 48.7
- 51.3°, rel. 23.0
- 59.0°, rel. 10.0
- 60.4°, rel. 8.8
- 63.3°, rel. 27.3
- 64.7°, rel. 13.2



(4)
Structure and computed powder diffraction line list of Li2Cr3CuO8 (a DFT-relaxed cell (PBE+U, the Materials Project); Cu Ka).
Lines closer than 0.1° are merged.

```
Li2Cr3CuO8
1.0
2.9523 1.7045 4.8369
-2.9523 1.7045 4.8369
0.0000 -3.4091 4.8369
Li Cr Cu O
2 3 1 8
direct
0.1268 0.1268 0.1268 Li
0.8732 0.8732 0.8732 Li
0.0000 0.5000 0.5000 Cr
0.5000 0.0000 0.5000 Cr
0.5000 0.5000 0.0000 Cr
0.5000 0.5000 0.5000 Cu
0.2556 0.2556 0.7074 O
0.2556 0.7074 0.2556 O
0.2609 0.2609 0.2609 O
0.2926 0.7444 0.7444 O
0.7074 0.2556 0.2556 O
0.7391 0.7391 0.7391 O
0.7444 0.2926 0.7444 O
0.7444 0.7444 0.2926 O
```

The 10 most intense peaks (2θ from 5° to 70°), in order of rising 2θ:
- 18.4°, rel. 100.0
- 35.6°, rel. 47.7
- 37.3°, rel. 8.1
- 43.3°, rel. 54.5
- 47.5°, rel. 6.1
- 57.3°, rel. 16.1
- 62.8°, rel. 15.7
- 63.0°, rel. 16.3
- 66.1°, rel. 7.6
- 66.2°, rel. 6.1



(5)
Structure and computed powder diffraction line list of Li2Cr3CuO8 (a DFT-relaxed cell (PBE+U, the Materials Project); Cu Ka).
Lines closer than 0.1° are merged.

```
Li2Cr3CuO8
1.0
2.9256 -5.0592 0.0000
2.9256 5.0592 0.0000
-0.0718 0.0000 9.5647
Li Cr Cu O
4 6 2 16
direct
0.0000 0.0000 0.0000 Li
0.0000 0.0000 0.5000 Li
0.3296 0.6610 0.4030 Li
0.6610 0.3296 0.9030 Li
0.1592 0.8264 0.7123 Cr
0.1612 0.3318 0.7129 Cr
0.3318 0.1612 0.2129 Cr
0.6528 0.8255 0.7190 Cr
0.8255 0.6528 0.2190 Cr
0.8264 0.1592 0.2123 Cr
0.3340 0.6719 0.9866 Cu
0.6719 0.3340 0.4866 Cu
0.0383 0.5195 0.8358 O
0.1609 0.3261 0.1139 O
0.1687 0.8445 0.1102 O
0.3252 0.6608 0.6061 O
0.3261 0.1609 0.6139 O
0.4693 0.5094 0.8390 O
0.4698 0.9600 0.8378 O
0.5094 0.4693 0.3390 O
0.5195 0.0383 0.3358 O
0.6608 0.3252 0.1061 O
0.6739 0.8445 0.1091 O
0.8445 0.1687 0.6102 O
0.8445 0.6739 0.6091 O
0.9600 0.4698 0.3378 O
0.9977 0.9987 0.8167 O
0.9987 0.9977 0.3167 O
```

The 10 most intense peaks (2θ from 5° to 70°), in order of rising 2θ:
- 18.6°, rel. 65.1
- 19.8°, rel. 100.0
- 19.9°, rel. 41.1
- 25.6°, rel. 31.6
- 33.3°, rel. 29.7
- 35.9°, rel. 43.2
- 36.1°, rel. 41.5
- 36.8°, rel. 39.1
- 40.4°, rel. 33.1
- 63.7°, rel. 50.3



(6)
Structure and computed powder diffraction line list of Li2CrCuO4 (a DFT-relaxed cell (PBE+U, the Materials Project); Cu Ka).
Lines closer than 0.1° are merged.

```
Li2CrCuO4
1.0
5.1070 0.0000 0.0000
0.0000 2.9525 0.0000
-1.7083 0.0000 4.8280
Li Cr Cu O
2 1 1 4
direct
0.0000 0.0000 0.0000 Li
0.5000 0.5000 0.0000 Li
0.0000 0.5000 0.5000 Cr
0.5000 0.0000 0.5000 Cu
0.2384 0.0000 0.7275 O
0.2539 0.5000 0.2729 O
0.7461 0.5000 0.7271 O
0.7616 0.0000 0.2725 O
```

The 10 most intense peaks (2θ from 5° to 70°), in order of rising 2θ:
- 18.4°, rel. 100.0
- 35.7°, rel. 44.6
- 37.3°, rel. 15.1
- 43.3°, rel. 77.5
- 47.4°, rel. 15.3
- 57.3°, rel. 16.3
- 62.9°, rel. 27.9
- 63.0°, rel. 14.3
- 66.2°, rel. 5.2
- 66.3°, rel. 9.7



(7)
Structure and computed powder diffraction line list of Li2CrCuO4 (a DFT-relaxed cell (PBE+U, the Materials Project); Cu Ka).
Lines closer than 0.1° are merged.

```
Li2CrCuO4
1.0
-2.9420 2.9441 4.1744
2.9420 -2.9441 4.1744
2.9420 2.9441 -4.1744
Li Cr Cu O
4 2 2 8
direct
0.0000 0.0000 0.0000 Li
0.5000 0.0000 0.0000 Li
0.5000 0.0000 0.5000 Li
0.5000 0.5000 0.5000 Li
0.0000 0.5000 0.5000 Cr
0.5000 0.5000 0.0000 Cr
0.0000 0.0000 0.5000 Cu
0.0000 0.5000 0.0000 Cu
0.2272 0.7396 0.4876 O
0.2446 0.2601 0.5156 O
0.2446 0.7290 0.9844 O
0.2480 0.2604 0.9876 O
0.7520 0.7396 0.0124 O
0.7554 0.2710 0.0156 O
0.7554 0.7399 0.4844 O
0.7728 0.2604 0.5124 O
```

The 10 most intense peaks (2θ from 5° to 70°), in order of rising 2θ:
- 18.4°, rel. 100.0
- 35.7°, rel. 45.1
- 37.4°, rel. 20.2
- 43.4°, rel. 26.1
- 43.5°, rel. 52.0
- 47.6°, rel. 15.6
- 57.5°, rel. 10.0
- 63.1°, rel. 35.4
- 63.2°, rel. 7.0
- 66.3°, rel. 8.3